This entry pairs a crystal structure of CaPr4SmS8 with its simulated powder diffractogram. Radiation: λ = 1.5418 Å (Cu Kα). Structure: a crystal structure in Alexandria, relaxed with PBE.
Lines closer than 0.1° are merged.

The 10 most intense peaks (2θ from 15° to 90°), most intense first:
2θ = 24.91°, d = 3.574 Å, I = 100, hkl 1 1 3; 2θ = 30.18°, d = 2.961 Å, I = 51, hkl 0 2 4; 2θ = 39.51°, d = 2.281 Å, I = 48, hkl 1 2 5; 2θ = 43.12°, d = 2.098 Å, I = 45, hkl 2 2 0; 2θ = 43.29°, d = 2.090 Å, I = 45, hkl 2 0 8; 2θ = 24.99°, d = 3.563 Å, I = 34, hkl 0 1 5; 2θ = 21.21°, d = 4.189 Å, I = 21, hkl 1 1 0; 2θ = 59.90°, d = 1.544 Å, I = 20, hkl 4 1 3; 2θ = 26.03°, d = 3.424 Å, I = 18, hkl 2 0 2; 2θ = 50.46°, d = 1.808 Å, I = 15, hkl 3 1 5

Cell and atoms:
a b c (Å): 8.3918 8.3918 20.4411
angles (deg): 90.00 90.00 120.00
Space group R3m (No. 160, hexagonal axes)
One atom of each set of equivalent atoms:
1 Ca 0.0000 0.0000 0.0000
2 Pr 0.0000 0.0000 0.2494
3 Pr 0.1691 0.3382 0.4576
4 Sm 0.0000 0.0000 0.6269
5 S 0.0000 0.0000 0.3829
6 S 0.0000 0.0000 0.8671
7 S 0.0240 0.5120 0.3759
8 S 0.1795 0.3590 0.2071

---

This entry pairs a crystal structure of CaPr4Tm3S8 with its simulated powder diffractogram. Radiation: λ = 1.5418 Å (Cu Kα). Structure: a crystal structure in Alexandria, relaxed with PBE.
Lines closer than 0.1° are merged.

The 10 most intense peaks (2θ from 15° to 90°), most intense first:
2θ = 31.68°, d = 2.825 Å, I = 100, hkl 0 2 4; 2θ = 27.61°, d = 3.231 Å, I = 53, hkl 2 0 2; 2θ = 44.71°, d = 2.027 Å, I = 37, hkl 2 0 8; 2θ = 46.09°, d = 1.969 Å, I = 35, hkl 2 2 0; 2θ = 74.18°, d = 1.278 Å, I = 23, hkl 2 2 12; 2θ = 26.53°, d = 3.360 Å, I = 20, hkl 0 0 6; 2θ = 57.01°, d = 1.615 Å, I = 18, hkl 4 0 4; 2θ = 53.97°, d = 1.699 Å, I = 18, hkl 2 2 6; 2θ = 76.23°, d = 1.249 Å, I = 15, hkl 2 4 4; 2θ = 54.60°, d = 1.681 Å, I = 15, hkl 0 0 12

Cell and atoms:
a b c (Å): 7.8769 7.8769 20.1590
angles (deg): 90.00 90.00 120.00
Space group R-3m (No. 166, hexagonal axes)
One atom of each set of equivalent atoms:
1 Ca 0.0000 0.0000 0.0000
2 Pr 0.0000 0.0000 0.5000
3 Pr 0.0000 0.5000 0.5000
4 Tm 0.0000 0.5000 0.0000
5 S 0.0000 0.0000 0.2585
6 S 0.0047 0.5023 0.2576